Record 1
Diffraction record for Pu2ZnTc2. The X-ray powder pattern is computed, not measured: it uses the PBE geometry in Alexandria and copper Kα.

Structural model:
```
Pu2ZnTc2
1.0
5.089 -2.498 0.000
5.089 2.498 0.000
-2.826 0.000 7.742
Pu Zn Tc
4 2 4
direct
0.014 0.289 0.137
0.289 0.014 0.637
0.711 0.986 0.363
0.986 0.711 0.863
0.367 0.633 0.250
0.633 0.367 0.750
0.207 0.524 0.466
0.476 0.793 0.034
0.524 0.207 0.966
0.793 0.476 0.534
```

Top 12 peaks for 15° ≤ 2θ ≤ 90°, by intensity:
| 2θ/deg | I_rel |
| --- | --- |
| 24.12 | 100.0 |
| 34.45 | 70.8 |
| 40.56 | 67.3 |
| 37.84 | 66.7 |
| 37.44 | 63.1 |
| 36.80 | 41.5 |
| 37.63 | 38.9 |
| 44.30 | 34.8 |
| 56.28 | 33.4 |
| 31.95 | 31.7 |
| 67.19 | 29.7 |
| 33.07 | 29.0 |

---

Record 2
Diffraction record for Pu2Te3. The X-ray powder pattern is computed, not measured: it uses the PBE geometry in Alexandria and copper Kα.

Structural model:
```
Pu2Te3
1.0
-4.647 4.647 14.043
4.647 -4.647 14.043
4.647 4.647 -14.043
Pu Te
16 24
direct
0.042 0.162 0.624
0.167 0.167 0.000
0.169 0.788 0.876
0.212 0.088 0.380
0.256 0.625 0.131
0.375 0.506 0.631
0.494 0.125 0.869
0.538 0.419 0.376
0.581 0.958 0.120
0.583 0.083 0.500
0.708 0.831 0.620
0.833 0.833 0.000
0.838 0.462 0.880
0.875 0.744 0.369
0.912 0.292 0.124
0.917 0.417 0.500
0.008 0.759 0.901
0.071 0.471 0.246
0.175 0.929 0.400
0.189 0.440 0.098
0.190 0.439 0.598
0.221 0.321 0.746
0.225 0.825 0.754
0.241 0.142 0.249
0.342 0.091 0.902
0.408 0.810 0.249
0.509 0.258 0.401
0.525 0.779 0.100
0.529 0.775 0.600
0.560 0.658 0.749
0.561 0.159 0.751
0.575 0.475 0.254
0.679 0.425 0.900
0.742 0.143 0.251
0.841 0.592 0.402
0.857 0.108 0.599
0.858 0.107 0.099
0.892 0.491 0.749
0.893 0.992 0.751
0.909 0.811 0.251
```

Top 12 peaks for 15° ≤ 2θ ≤ 90°, by intensity:
| 2θ/deg | I_rel |
| --- | --- |
| 30.40 | 100.0 |
| 36.02 | 66.6 |
| 30.21 | 45.6 |
| 36.14 | 35.1 |
| 23.38 | 33.2 |
| 43.51 | 24.3 |
| 45.67 | 23.5 |
| 61.42 | 17.3 |
| 61.49 | 14.3 |
| 47.89 | 12.5 |
| 75.08 | 12.3 |
| 43.28 | 10.8 |

---

Record 3
Diffraction record for PuTe4. The X-ray powder pattern is computed, not measured: it uses the PBE geometry in Alexandria and copper Kα.

Structural model:
```
PuTe4
1.0
5.838 0.000 0.000
0.000 5.838 0.000
0.000 0.000 5.838
Pu Te
1 4
direct
0.000 0.000 0.000
0.000 0.000 0.500
0.000 0.500 0.000
0.500 0.000 0.000
0.500 0.500 0.500
```

Top 12 peaks for 15° ≤ 2θ ≤ 90°, by intensity:
| 2θ/deg | I_rel |
| --- | --- |
| 30.63 | 100.0 |
| 43.87 | 74.9 |
| 15.18 | 53.1 |
| 21.53 | 48.1 |
| 72.40 | 33.9 |
| 34.35 | 30.3 |
| 54.45 | 26.5 |
| 26.44 | 25.9 |
| 80.62 | 25.5 |
| 37.75 | 23.6 |
| 46.68 | 16.4 |
| 59.22 | 13.2 |

---

Record 4
Diffraction record for Pu2Te3. The X-ray powder pattern is computed, not measured: it uses the PBE geometry in Alexandria and copper Kα.

Structural model:
```
Pu2Te3
1.0
11.971 0.000 0.000
0.000 4.353 0.000
0.000 0.000 11.732
Pu Te
8 12
direct
0.008 0.250 0.185
0.190 0.250 0.504
0.310 0.750 0.004
0.492 0.750 0.685
0.508 0.250 0.315
0.690 0.250 0.996
0.810 0.750 0.496
0.992 0.750 0.815
0.049 0.750 0.371
0.124 0.250 0.943
0.230 0.750 0.702
0.270 0.250 0.202
0.376 0.750 0.443
0.451 0.250 0.871
0.549 0.750 0.129
0.624 0.250 0.557
0.730 0.750 0.798
0.770 0.250 0.298
0.876 0.750 0.057
0.951 0.250 0.629
```

Top 12 peaks for 15° ≤ 2θ ≤ 90°, by intensity:
| 2θ/deg | I_rel |
| --- | --- |
| 34.08 | 100.0 |
| 31.65 | 77.3 |
| 30.76 | 73.3 |
| 41.49 | 68.0 |
| 29.60 | 67.7 |
| 26.57 | 63.3 |
| 31.37 | 58.4 |
| 21.21 | 58.0 |
| 37.26 | 56.1 |
| 37.74 | 48.2 |
| 44.81 | 43.3 |
| 39.65 | 41.1 |

---

Record 5
Diffraction record for Pu2Te3. The X-ray powder pattern is computed, not measured: it uses the PBE geometry in Alexandria and copper Kα.

Structural model:
```
Pu2Te3
1.0
3.915 2.260 7.024
-3.915 2.260 7.024
0.000 -4.520 7.024
Pu Te
4 6
direct
0.154 0.154 0.154
0.346 0.346 0.346
0.654 0.654 0.654
0.846 0.846 0.846
0.055 0.750 0.445
0.250 0.555 0.945
0.445 0.055 0.750
0.555 0.945 0.250
0.750 0.445 0.055
0.945 0.250 0.555
```

Top 12 peaks for 15° ≤ 2θ ≤ 90°, by intensity:
| 2θ/deg | I_rel |
| --- | --- |
| 34.30 | 100.0 |
| 39.89 | 60.8 |
| 26.06 | 56.7 |
| 21.36 | 43.1 |
| 15.54 | 40.6 |
| 22.72 | 31.9 |
| 31.38 | 30.7 |
| 45.09 | 29.0 |
| 39.09 | 28.7 |
| 53.61 | 27.5 |
| 68.86 | 24.0 |
| 67.56 | 14.8 |

---

Record 6
Diffraction record for PuTe2. The X-ray powder pattern is computed, not measured: it uses the PBE geometry in Alexandria and copper Kα.

Structural model:
```
PuTe2
1.0
4.431 0.000 0.000
0.000 4.431 0.000
0.000 0.000 8.941
Pu Te
2 4
direct
0.250 0.250 0.224
0.750 0.750 0.776
0.250 0.250 0.863
0.250 0.750 0.500
0.750 0.250 0.500
0.750 0.750 0.137
```

Top 12 peaks for 15° ≤ 2θ ≤ 90°, by intensity:
| 2θ/deg | I_rel |
| --- | --- |
| 34.97 | 100.0 |
| 30.22 | 65.7 |
| 40.72 | 57.8 |
| 36.33 | 50.9 |
| 22.39 | 41.8 |
| 28.49 | 35.0 |
| 29.98 | 32.5 |
| 55.70 | 30.4 |
| 51.39 | 29.0 |
| 70.42 | 26.7 |
| 58.95 | 19.7 |
| 55.41 | 15.4 |

---

Record 7
Diffraction record for PuTe5. The X-ray powder pattern is computed, not measured: it uses the PBE geometry in Alexandria and copper Kα.

Structural model:
```
PuTe5
1.0
4.492 0.000 0.000
0.000 18.454 0.000
0.000 0.000 4.410
Pu Te
2 10
direct
0.000 0.000 0.000
0.500 0.500 0.000
0.000 0.147 0.500
0.000 0.351 0.000
0.000 0.500 0.500
0.000 0.649 0.000
0.000 0.853 0.500
0.500 0.000 0.500
0.500 0.149 0.000
0.500 0.353 0.500
0.500 0.647 0.500
0.500 0.851 0.000
```

Top 12 peaks for 15° ≤ 2θ ≤ 90°, by intensity:
| 2θ/deg | I_rel |
| --- | --- |
| 31.94 | 100.0 |
| 29.03 | 25.7 |
| 40.14 | 14.4 |
| 37.56 | 14.2 |
| 40.93 | 13.6 |
| 53.33 | 12.8 |
| 67.83 | 11.4 |
| 50.30 | 11.3 |
| 68.92 | 10.9 |
| 50.96 | 10.8 |
| 62.77 | 10.3 |
| 66.78 | 9.7 |

---

Record 8
Diffraction record for Pu5Te. The X-ray powder pattern is computed, not measured: it uses the PBE geometry in Alexandria and copper Kα.

Structural model:
```
Pu5Te
1.0
4.940 0.000 0.000
0.000 14.012 0.000
0.000 0.000 4.069
Pu Te
10 2
direct
0.000 0.000 0.000
0.000 0.165 0.500
0.000 0.263 0.000
0.000 0.737 0.000
0.000 0.835 0.500
0.500 0.237 0.000
0.500 0.335 0.500
0.500 0.500 0.000
0.500 0.665 0.500
0.500 0.763 0.000
0.000 0.500 0.500
0.500 0.000 0.500
```

Top 12 peaks for 15° ≤ 2θ ≤ 90°, by intensity:
| 2θ/deg | I_rel |
| --- | --- |
| 34.41 | 100.0 |
| 36.37 | 40.6 |
| 33.76 | 38.0 |
| 50.47 | 25.4 |
| 44.54 | 23.4 |
| 19.05 | 22.2 |
| 58.80 | 20.9 |
| 25.43 | 18.3 |
| 64.19 | 17.1 |
| 44.75 | 17.0 |
| 58.97 | 14.5 |
| 75.49 | 10.8 |